Er3Tm3NiTe2: calculated X-ray diffraction stick pattern (copper Kα), based on the GGA-PBE geometry in OQMD.
Lines closer than 0.1° are merged.

Structure:
```
data_Er3Tm3NiTe2
_cell_length_a 8.2777
_cell_length_b 8.2777
_cell_length_c 3.8524
_cell_angle_alpha 90.00
_cell_angle_beta 90.00
_cell_angle_gamma 120.00
_space_group_name_H-M_alt 'P -6 2 m'
_space_group_IT_number 189
_space_group_name_Hall 'P -6 -2'
loop_
_atom_site_label
_atom_site_fract_x
_atom_site_fract_y
_atom_site_fract_z
Er1 0.0000 0.3991 0.0000
Tm1 0.0000 0.7623 0.5000
Ni1 0.0000 0.0000 0.0000
Te1 0.3333 0.6667 0.5000
```

Most intense lines, 2θ = 15–90°, in order of rising 2θ:
2theta	I_rel
31.73	100.0
33.06	72.0
34.17	61.9
37.64	28.6
40.71	28.6
58.82	28.1



Er6TmNi2Te2: calculated X-ray diffraction stick pattern (copper Kα), based on the GGA-PBE geometry in OQMD.
Lines closer than 0.1° are merged.

Structure:
```
data_Er6TmNi2Te2
_cell_length_a 3.823
_cell_length_b 15.461
_cell_length_c 9.473
_cell_angle_alpha 90.00
_cell_angle_beta 90.00
_cell_angle_gamma 90.00
_space_group_name_H-M_alt 'I m m 2'
_space_group_IT_number 44
_space_group_name_Hall 'I 2 -2'
loop_
_atom_site_label
_atom_site_fract_x
_atom_site_fract_y
_atom_site_fract_z
Er1 0.000 0.133 0.000
Er2 0.000 0.315 0.796
Er3 0.000 0.354 0.147
Tm1 0.000 0.000 0.417
Ni1 0.000 0.238 0.489
Te1 0.000 0.000 0.754
Te2 0.000 0.500 0.652
```

Most intense lines, 2θ = 15–90°, in order of rising 2θ:
2theta	I_rel
30.60	51.5
33.28	78.9
34.32	100.0
34.82	73.6
47.57	29.6
59.29	30.3



Er5Tm2Ni2Te2: calculated X-ray diffraction stick pattern (copper Kα), based on the GGA-PBE geometry in OQMD.
Lines closer than 0.1° are merged.

Structure:
```
data_Er5Tm2Ni2Te2
_cell_length_a 3.822
_cell_length_b 15.455
_cell_length_c 9.468
_cell_angle_alpha 90.00
_cell_angle_beta 90.00
_cell_angle_gamma 90.00
_space_group_name_H-M_alt 'I m m 2'
_space_group_IT_number 44
_space_group_name_Hall 'I 2 -2'
loop_
_atom_site_label
_atom_site_fract_x
_atom_site_fract_y
_atom_site_fract_z
Er1 0.000 0.000 0.000
Er2 0.000 0.133 0.417
Er3 0.000 0.315 0.621
Tm1 0.000 0.354 0.270
Ni1 0.000 0.238 0.928
Te1 0.000 0.000 0.663
Te2 0.000 0.500 0.765
```

Most intense lines, 2θ = 15–90°, in order of rising 2θ:
2theta	I_rel
30.61	51.2
33.29	78.9
34.34	100.0
34.83	73.5
47.59	29.5
59.31	30.4



Er5Tm2Ni2Te2: calculated X-ray diffraction stick pattern (copper Kα), based on the GGA-PBE geometry in OQMD.
Lines closer than 0.1° are merged.

Structure:
```
data_Er5Tm2Ni2Te2
_cell_length_a 3.822
_cell_length_b 15.454
_cell_length_c 9.469
_cell_angle_alpha 90.00
_cell_angle_beta 90.00
_cell_angle_gamma 90.00
_space_group_name_H-M_alt 'I m m 2'
_space_group_IT_number 44
_space_group_name_Hall 'I 2 -2'
loop_
_atom_site_label
_atom_site_fract_x
_atom_site_fract_y
_atom_site_fract_z
Er1 0.000 0.000 0.000
Er2 0.000 0.315 0.379
Er3 0.000 0.354 0.730
Tm1 0.000 0.133 0.583
Ni1 0.000 0.238 0.072
Te1 0.000 0.000 0.337
Te2 0.000 0.500 0.235
```

Most intense lines, 2θ = 15–90°, in order of rising 2θ:
2theta	I_rel
30.61	51.1
33.29	78.6
34.34	100.0
34.83	73.8
47.58	29.6
59.31	30.3